Structure and computed X-ray powder pattern of Tb2ErIn3Pt2 (a structure optimized by DFT (GGA-PBE); a wavelength of 1.5418 Å).
Intensities are scaled so that the largest is 100.

Most intense lines, 10 to 80 degrees two-theta, low angle first:
2θ = 13.3°, intensity 26.4, (0 1 1); 2θ = 33.9°, intensity 100.0, (1 3 1); 2θ = 35.6°, intensity 69.2, (0 1 3); 2θ = 36.5°, intensity 68.4, (1 4 0); 2θ = 40.6°, intensity 19.2, (0 6 0); 2θ = 50.2°, intensity 16.8, (2 0 0); 2θ = 55.7°, intensity 20.8, (1 2 4); 2θ = 63.0°, intensity 25.9, (2 1 3); 2θ = 66.2°, intensity 17.4, (1 7 3); 2θ = 69.5°, intensity 23.5, (1 6 4)

Cell and atoms:
abc: 3.6371 13.3497 7.7039
angles: 90.00 90.00 90.00
Space group Amm2 (No. 38)
Asymmetric unit:
Tb  0.0000  0.2103  0.0000 (multiplicity 4)
Er  0.0000  0.0000  0.6316 (multiplicity 2)
In  0.5000  0.0000  0.9785 (multiplicity 2)
In  0.5000  0.1146  0.3261 (multiplicity 4)
Pt  0.5000  0.1645  0.7092 (multiplicity 4)